Diffraction record for Er2Bi2O7. The powder diffraction line list is simulated, not measured: it uses a structure optimized by DFT (GGA-PBE) and Cu Kα X-rays.
Lines closer than 0.1° are merged.

Principal peaks in the range 2θ = 15–90°, low angle first:
d (Å)  two_theta  I_rel
3.240  27.53  100
3.180  28.06  45
2.900  30.84  41
2.735  32.74  48
1.982  45.79  31
1.842  49.48  37

```
Er2Bi2O7
1.0
3.7024 -4.0817 0.0000
3.7024 4.0817 0.0000
-0.5256 0.0000 5.3260
Er Bi O
2 2 7
Cartesian
3.7024 2.1808 0.0000
3.7024 -2.1808 0.0000
1.7109 0.0000 2.5019
5.4599 0.0000 2.6296
-0.2367 0.0000 3.9944
1.8601 1.6864 1.1504
1.8601 -1.6864 1.1504
4.8583 1.5816 3.8683
3.9888 0.0000 1.1273
4.8583 -1.5816 3.8683
7.1527 0.0000 1.3086
```